# RbCaTbF6
Computed powder X-ray diffraction pattern, Cu Kα (λ = 1.5418 Å). Input: a structure optimized by DFT (PBE).
No peak broadening, texture or thermal motion is included.

Crystal structure
a = 8.146 Å, b = 8.400 Å, c = 11.923 Å
α = 90.00°, β = 90.00°, γ = 90.00°
Space group Imma (No. 74)
Asymmetric unit:
Rb1 0.000 0.250 0.051 (multiplicity 4)
Ca1 0.250 0.250 0.750 (multiplicity 4)
Tb1 0.000 0.000 0.500 (multiplicity 4)
F1 0.000 0.250 0.438 (multiplicity 4)
F2 0.000 0.250 0.824 (multiplicity 4)
F3 0.198 0.061 0.617 (multiplicity 16)

The 8 most intense peaks (2θ = 10–90°), low angle first:
| 2θ (°) | I (rel.) | hkl |
| --- | --- | --- |
| 13.16 | 36 | 1 0 1 |
| 14.86 | 47 | 0 0 2 |
| 24.99 | 100 | 1 2 1 |
| 26.50 | 46 | 2 0 2 |
| 32.92 | 21 | 1 2 3 |
| 40.25 | 23 | 3 2 1 |
| 43.35 | 17 | 2 2 4 |
| 45.86 | 19 | 3 2 3 |

=====

# TbPr2Dy2Sc
Computed powder X-ray diffraction pattern, Cu Kα (λ = 1.5418 Å). Input: a structure optimized by DFT (PBE).
No peak broadening, texture or thermal motion is included.

Crystal structure
a = 5.682 Å, b = 10.860 Å, c = 6.269 Å
α = 90.00°, β = 90.00°, γ = 90.00°
Space group Pmc2_1 (No. 26)
Asymmetric unit:
Tb1 0.000 0.242 0.000 (multiplicity 2)
Pr1 0.000 0.420 0.488 (multiplicity 2)
Pr2 0.500 0.242 0.658 (multiplicity 2)
Dy1 0.000 0.076 0.480 (multiplicity 2)
Dy2 0.500 0.410 0.157 (multiplicity 2)
Sc1 0.500 0.079 0.155 (multiplicity 2)

The 8 most intense peaks (2θ = 10–90°), low angle first:
| 2θ (°) | I (rel.) | hkl |
| --- | --- | --- |
| 28.47 | 25 | 0 3 1 |
| 31.49 | 25 | 2 0 0 |
| 32.62 | 100 | 1 0 2 |
| 42.97 | 16 | 2 3 1 |
| 50.42 | 19 | 0 3 3 |
| 56.79 | 20 | 3 0 2 |
| 60.67 | 22 | 2 3 3 |
| 61.36 | 16 | 1 0 4 |

=====

# Ho2Er9Tm
Computed powder X-ray diffraction pattern, Cu Kα (λ = 1.5418 Å). Input: a structure optimized by DFT (PBE).
No peak broadening, texture or thermal motion is included.

Crystal structure
a = 4.951 Å, b = 4.951 Å, c = 14.846 Å
α = 90.00°, β = 90.00°, γ = 90.00°
Space group P4/mmm (No. 123)
Asymmetric unit:
Ho1 0.000 0.000 0.167 (multiplicity 2)
Er1 0.000 0.500 0.000 (multiplicity 2)
Er2 0.000 0.500 0.334 (multiplicity 4)
Er3 0.500 0.500 0.167 (multiplicity 2)
Er4 0.500 0.500 0.500 (multiplicity 1)
Tm1 0.000 0.000 0.500 (multiplicity 1)

The 8 most intense peaks (2θ = 10–90°), low angle first:
| 2θ (°) | I (rel.) | hkl |
| --- | --- | --- |
| 31.30 | 100 | 1 1 3 |
| 36.30 | 51 | 2 0 0 |
| 52.27 | 36 | 2 2 0 |
| 62.20 | 43 | 3 1 3 |
| 65.30 | 12 | 2 2 6 |
| 77.07 | 6 | 4 0 0 |
| 85.51 | 18 | 3 3 3 |
| 88.29 | 17 | 4 2 0 |

=====

# K2NaTlBi2
Computed powder X-ray diffraction pattern, Cu Kα (λ = 1.5418 Å). Input: a structure optimized by DFT (PBE).
No peak broadening, texture or thermal motion is included.

Crystal structure
a = 7.211 Å, b = 16.994 Å, c = 7.469 Å
α = 90.00°, β = 90.00°, γ = 90.00°
Space group Ibam (No. 72)
Asymmetric unit:
K1 0.247 0.170 0.000 (multiplicity 8)
Na1 0.000 0.000 0.250 (multiplicity 4)
Tl1 0.000 0.500 0.250 (multiplicity 4)
Bi1 0.233 0.389 0.000 (multiplicity 8)

The 8 most intense peaks (2θ = 10–90°), low angle first:
| 2θ (°) | I (rel.) | hkl |
| --- | --- | --- |
| 10.41 | 62 | 0 2 0 |
| 13.34 | 49 | 1 1 0 |
| 20.05 | 100 | 1 2 1 |
| 31.91 | 62 | 0 4 2 |
| 32.57 | 57 | 2 4 0 |
| 34.58 | 61 | 2 0 2 |
| 36.16 | 42 | 1 6 1 |
| 40.81 | 26 | 3 2 1 |

=====

# InRe3O12
Computed powder X-ray diffraction pattern, Cu Kα (λ = 1.5418 Å). Input: a structure optimized by DFT (PBE).
No peak broadening, texture or thermal motion is included.

Crystal structure
a = 9.0184 Å, b = 9.0184 Å, c = 28.8733 Å
α = 90.00°, β = 90.00°, γ = 120.00°
Space group R3c (No. 161, hexagonal axes)
Asymmetric unit:
In1 0.0000 0.0000 0.0000 (multiplicity 6)
Re1 0.0224 0.3530 0.2553 (multiplicity 18)
O1 0.0589 0.2188 0.5430 (multiplicity 18)
O2 0.1772 0.3594 0.7896 (multiplicity 18)
O3 0.1787 0.4495 0.6230 (multiplicity 18)
O4 0.1826 0.4233 0.8987 (multiplicity 18)

The 8 most intense peaks (2θ = 10–90°), low angle first:
| 2θ (°) | I (rel.) | hkl |
| --- | --- | --- |
| 12.89 | 17 | 0 1 2 |
| 18.44 | 24 | 0 0 6 |
| 21.77 | 100 | 1 1 3 |
| 27.10 | 36 | 1 1 6 |
| 34.30 | 26 | 1 1 9 |
| 34.45 | 20 | 3 0 0 |
| 39.37 | 17 | 3 0 6 |
| 51.73 | 18 | 0 3 12 |

=====

# NpZn2GaO8
Computed powder X-ray diffraction pattern, Cu Kα (λ = 1.5418 Å). Input: a structure optimized by DFT (PBE).
No peak broadening, texture or thermal motion is included.

Crystal structure
a = 6.484 Å, b = 6.484 Å, c = 7.158 Å
α = 90.00°, β = 90.00°, γ = 90.00°
Space group I-4m2 (No. 119)
Asymmetric unit:
Np1 0.000 0.000 0.000 (multiplicity 2)
Zn1 0.000 0.000 0.500 (multiplicity 2)
Zn2 0.000 0.500 0.750 (multiplicity 2)
Ga1 0.000 0.500 0.250 (multiplicity 2)
O1 0.000 0.206 0.299 (multiplicity 8)
O2 0.000 0.294 0.943 (multiplicity 8)

The 8 most intense peaks (2θ = 10–90°), low angle first:
| 2θ (°) | I (rel.) | hkl |
| --- | --- | --- |
| 18.46 | 60 | 1 0 1 |
| 19.36 | 23 | 1 1 0 |
| 27.51 | 86 | 2 0 0 |
| 31.72 | 100 | 1 1 2 |
| 33.34 | 17 | 2 1 1 |
| 39.30 | 18 | 2 2 0 |
| 51.35 | 65 | 3 1 2 |
| 58.95 | 20 | 2 0 4 |

=====

# YEr7Th2
Computed powder X-ray diffraction pattern, Cu Kα (λ = 1.5418 Å). Input: a structure optimized by DFT (PBE).
No peak broadening, texture or thermal motion is included.

Crystal structure
a = 5.928 Å, b = 6.816 Å, c = 8.557 Å
α = 76.72°, β = 69.97°, γ = 88.29°
Space group P-1 (No. 2)
Asymmetric unit:
Y1 0.000 0.000 0.000 (multiplicity 1)
Er1 0.000 0.500 0.000 (multiplicity 1)
Er2 0.139 0.308 0.594 (multiplicity 2)
Er3 0.343 0.133 0.209 (multiplicity 2)
Er4 0.446 0.633 0.211 (multiplicity 2)
Th1 0.269 0.802 0.597 (multiplicity 2)

The 8 most intense peaks (2θ = 10–90°), low angle first:
| 2θ (°) | I (rel.) | hkl |
| --- | --- | --- |
| 30.17 | 43 | 2 0 1 |
| 31.71 | 61 | 0 2 -1 |
| 31.88 | 51 | 1 2 2 |
| 32.22 | 56 | 1 0 -2 |
| 32.52 | 100 | 1 0 3 |
| 33.53 | 16 | 2 -1 1 |
| 43.60 | 16 | 2 2 0 |
| 48.22 | 19 | 0 2 4 |

=====

# Er8IrPt2
Computed powder X-ray diffraction pattern, Cu Kα (λ = 1.5418 Å). Input: a structure optimized by DFT (PBE).
No peak broadening, texture or thermal motion is included.

Crystal structure
a = 8.388 Å, b = 12.534 Å, c = 5.902 Å
α = 90.00°, β = 109.60°, γ = 90.00°
Space group Cm (No. 8)
Asymmetric unit:
Er1 0.000 0.000 0.000 (multiplicity 2)
Er2 0.062 0.372 0.769 (multiplicity 4)
Er3 0.150 0.128 0.569 (multiplicity 4)
Er4 0.209 0.500 0.358 (multiplicity 2)
Er5 0.353 0.212 0.180 (multiplicity 4)
Ir1 0.354 0.000 0.349 (multiplicity 2)
Pt1 0.358 0.313 0.678 (multiplicity 4)

The 8 most intense peaks (2θ = 10–90°), low angle first:
| 2θ (°) | I (rel.) | hkl |
| --- | --- | --- |
| 31.11 | 100 | 1 3 1 |
| 32.81 | 60 | 0 4 1 |
| 33.16 | 65 | 3 1 -1 |
| 35.32 | 42 | 0 2 2 |
| 35.67 | 40 | 2 2 -2 |
| 39.07 | 42 | 3 3 -1 |
| 39.51 | 59 | 1 5 -1 |
| 40.48 | 36 | 3 3 0 |